Record 1
Diffraction record for PaSiB3. The X-ray powder pattern is simulated, not measured: it uses a structure optimized by DFT (GGA-PBE) and CuKα.
Lines closer than 0.1° are merged.

Atomic structure:
Cell: 3.5777 17.0078 4.0251 Å, 90.00 90.00 90.00°
Space group Cmmm (No. 65)
Symmetry-distinct sites (fractional):
1 Pa 0.0000 0.1666 0.0000 [4 per cell]
2 Si 0.0000 0.3989 0.5000 [4 per cell]
3 B 0.0000 0.0486 0.5000 [4 per cell]
4 B 0.0000 0.2756 0.5000 [4 per cell]
5 B 0.0000 0.4500 0.0000 [4 per cell]

Largest 6 diffraction maxima, sorted by position, 10° ≤ 2θ ≤ 90°:
hkl 0 2 0, 10.4°, 8.504 Å, I 71; hkl 0 0 1, 22.1°, 4.025 Å, I 51; hkl 1 3 0, 29.5°, 3.026 Å, I 66; hkl 1 1 1, 33.9°, 2.642 Å, I 31; hkl 1 3 1, 37.2°, 2.419 Å, I 100; hkl 0 6 1, 38.9°, 2.318 Å, I 46

Record 2
Diffraction record for CaPaPdO6. The X-ray powder pattern is simulated, not measured: it uses a structure optimized by DFT (GGA-PBE) and CuKα.
Lines closer than 0.1° are merged.

Atomic structure:
Cell: 5.4287 5.4287 4.7975 Å, 90.00 90.00 120.00°
Space group P312 (No. 149)
Symmetry-distinct sites (fractional):
1 Ca 0.0000 0.0000 0.0000 [1 per cell]
2 Pa 0.6667 0.3333 0.5000 [1 per cell]
3 Pd 0.3333 0.6667 0.0000 [1 per cell]
4 O 0.0160 0.3733 0.2420 [6 per cell]

Largest 6 diffraction maxima, sorted by position, 10° ≤ 2θ ≤ 90°:
hkl 1 0 0, 18.9°, 4.701 Å, I 32; hkl 1 0 1, 26.5°, 3.358 Å, I 100; hkl 1 1 0, 33.0°, 2.714 Å, I 33; hkl 2 0 1, 42.8°, 2.111 Å, I 28; hkl 2 -1 2, 50.8°, 1.797 Å, I 32; hkl 3 -1 1, 55.1°, 1.666 Å, I 27